Starting from a structure optimized by DFT (GGA-PBE), the powder diffraction line list of LiCu2SbSe4 was calculated for Cu Kα.
No peak broadening, texture or thermal motion is included.

Principal peaks in the range 5 to 70 degrees two-theta, in order of rising 2θ:
17.07 deg, rel. 22.6; 26.68 deg, rel. 100.0; 28.06 deg, rel. 7.0; 35.26 deg, rel. 7.6; 38.44 deg, rel. 2.3; 42.01 deg, rel. 4.5; 43.85 deg, rel. 25.7; 44.47 deg, rel. 46.5; 52.07 deg, rel. 30.3; 53.17 deg, rel. 12.6; 63.75 deg, rel. 8.1; 65.67 deg, rel. 2.9

Crystal structure
```
LiCu2SbSe4
1.0
-2.920 2.920 5.687
2.920 -2.920 5.687
2.920 2.920 -5.687
Li Cu Sb Se
1 2 1 4
direct
0.000 0.000 0.000 Li
0.250 0.750 0.500 Cu
0.750 0.250 0.500 Cu
0.500 0.500 0.000 Sb
0.112 0.112 0.499 Se
0.387 0.888 0.000 Se
0.613 0.613 0.501 Se
0.888 0.387 0.000 Se
```

Starting from a structure optimized by DFT (GGA-PBE), the powder diffraction line list of LiScCu was calculated for Cu Kα.
No peak broadening, texture or thermal motion is included.

Principal peaks in the range 5 to 70 degrees two-theta, in order of rising 2θ:
24.97 deg, rel. 67.9; 25.67 deg, rel. 73.2; 25.87 deg, rel. 66.6; 28.31 deg, rel. 93.9; 36.13 deg, rel. 47.0; 38.20 deg, rel. 63.9; 38.38 deg, rel. 80.4; 39.02 deg, rel. 100.0; 44.29 deg, rel. 57.9; 44.66 deg, rel. 57.5; 45.93 deg, rel. 47.4; 49.55 deg, rel. 66.6

Crystal structure
```
LiScCu
1.0
6.945 0.000 0.000
0.000 3.679 0.000
-0.490 0.000 12.175
Li Sc Cu
6 6 6
direct
0.007 0.250 0.082 Li
0.126 0.750 0.539 Li
0.382 0.250 0.204 Li
0.618 0.750 0.796 Li
0.874 0.250 0.461 Li
0.993 0.750 0.918 Li
0.060 0.750 0.283 Sc
0.343 0.250 0.912 Sc
0.449 0.250 0.622 Sc
0.551 0.750 0.378 Sc
0.657 0.750 0.088 Sc
0.940 0.250 0.717 Sc
0.236 0.750 0.748 Cu
0.263 0.250 0.412 Cu
0.264 0.750 0.078 Cu
0.736 0.250 0.922 Cu
0.737 0.750 0.588 Cu
0.764 0.250 0.252 Cu
```

Starting from a structure optimized by DFT (GGA-PBE), the powder diffraction line list of Li2Sc2Cu15 was calculated for Cu Kα.
No peak broadening, texture or thermal motion is included.

Principal peaks in the range 5 to 70 degrees two-theta, in order of rising 2θ:
21.08 deg, rel. 52.1; 30.09 deg, rel. 3.2; 36.94 deg, rel. 10.6; 37.81 deg, rel. 5.8; 42.98 deg, rel. 100.0; 43.24 deg, rel. 31.4; 43.74 deg, rel. 3.7; 48.36 deg, rel. 61.8; 48.58 deg, rel. 13.4; 57.88 deg, rel. 5.5; 58.15 deg, rel. 4.1; 62.56 deg, rel. 10.6

Crystal structure
```
Li2Sc2Cu15
1.0
4.215 2.433 4.184
-4.215 2.433 4.184
0.000 -4.867 4.184
Li Sc Cu
2 2 15
direct
0.096 0.096 0.096 Li
0.904 0.904 0.904 Li
0.350 0.350 0.350 Sc
0.650 0.650 0.650 Sc
0.000 0.000 0.500 Cu
0.000 0.313 0.687 Cu
0.000 0.500 0.000 Cu
0.000 0.687 0.313 Cu
0.162 0.655 0.655 Cu
0.313 0.000 0.687 Cu
0.313 0.687 0.000 Cu
0.345 0.345 0.838 Cu
0.345 0.838 0.345 Cu
0.500 0.000 0.000 Cu
0.655 0.162 0.655 Cu
0.655 0.655 0.162 Cu
0.687 0.000 0.313 Cu
0.687 0.313 0.000 Cu
0.838 0.345 0.345 Cu
```

Starting from a structure optimized by DFT (GGA-PBE), the powder diffraction line list of LiSc2Cu7 was calculated for Cu Kα.
No peak broadening, texture or thermal motion is included.

Principal peaks in the range 5 to 70 degrees two-theta, in order of rising 2θ:
17.91 deg, rel. 4.0; 20.71 deg, rel. 25.7; 29.45 deg, rel. 1.2; 34.68 deg, rel. 10.1; 36.27 deg, rel. 100.0; 42.13 deg, rel. 87.7; 46.12 deg, rel. 10.0; 47.39 deg, rel. 11.1; 55.66 deg, rel. 3.3; 61.10 deg, rel. 52.5; 64.22 deg, rel. 0.7; 65.25 deg, rel. 4.9

Crystal structure
```
LiSc2Cu7
1.0
0.000 4.290 4.290
4.290 0.000 4.290
4.290 4.290 0.000
Li Sc Cu
1 2 7
direct
0.000 0.000 0.000 Li
0.250 0.250 0.250 Sc
0.750 0.750 0.750 Sc
0.239 0.239 0.761 Cu
0.239 0.761 0.239 Cu
0.239 0.761 0.761 Cu
0.500 0.500 0.500 Cu
0.761 0.239 0.239 Cu
0.761 0.239 0.761 Cu
0.761 0.761 0.239 Cu
```

Starting from a structure optimized by DFT (GGA-PBE), the powder diffraction line list of LiScCuTc2 was calculated for Cu Kα.
No peak broadening, texture or thermal motion is included.

Principal peaks in the range 5 to 70 degrees two-theta, in order of rising 2θ:
20.03 deg, rel. 56.4; 27.65 deg, rel. 11.2; 28.07 deg, rel. 38.7; 34.38 deg, rel. 100.0; 39.51 deg, rel. 64.9; 40.71 deg, rel. 29.7; 44.68 deg, rel. 25.9; 49.16 deg, rel. 15.1; 57.10 deg, rel. 21.1; 58.02 deg, rel. 40.1; 61.14 deg, rel. 9.9; 68.38 deg, rel. 25.8

Crystal structure
```
LiScCuTc2
1.0
4.562 0.000 0.000
0.000 4.562 0.000
0.000 0.000 4.433
Li Sc Cu Tc
1 1 1 2
direct
0.000 0.000 0.000 Li
0.000 0.000 0.500 Sc
0.500 0.500 0.000 Cu
0.000 0.500 0.500 Tc
0.500 0.000 0.500 Tc
```

Starting from a structure optimized by DFT (GGA-PBE), the powder diffraction line list of Li4CuSe3 was calculated for Cu Kα.
No peak broadening, texture or thermal motion is included.

Principal peaks in the range 5 to 70 degrees two-theta, in order of rising 2θ:
17.11 deg, rel. 14.4; 21.35 deg, rel. 15.4; 21.52 deg, rel. 20.3; 24.67 deg, rel. 100.0; 26.80 deg, rel. 21.8; 27.84 deg, rel. 60.6; 30.64 deg, rel. 27.1; 41.15 deg, rel. 29.9; 43.48 deg, rel. 25.9; 47.98 deg, rel. 22.5; 49.15 deg, rel. 14.3; 49.85 deg, rel. 18.6

Crystal structure
```
Li4CuSe3
1.0
6.095 -3.327 0.000
6.095 3.327 0.000
-3.761 0.000 7.765
Li Cu Se
8 2 6
direct
0.039 0.475 0.069 Li
0.119 0.881 0.500 Li
0.369 0.756 0.213 Li
0.467 0.967 0.993 Li
0.475 0.039 0.569 Li
0.756 0.369 0.713 Li
0.881 0.119 0.000 Li
0.967 0.467 0.493 Li
0.227 0.595 0.815 Cu
0.595 0.227 0.315 Cu
0.197 0.252 0.779 Se
0.252 0.197 0.279 Se
0.543 0.600 0.484 Se
0.600 0.543 0.984 Se
0.900 0.913 0.187 Se
0.913 0.900 0.687 Se
```

Starting from a structure optimized by DFT (GGA-PBE), the powder diffraction line list of LiCu2Se was calculated for Cu Kα.
No peak broadening, texture or thermal motion is included.

Principal peaks in the range 5 to 70 degrees two-theta, in order of rising 2θ:
17.32 deg, rel. 30.2; 26.44 deg, rel. 12.1; 31.78 deg, rel. 30.7; 37.75 deg, rel. 80.7; 41.80 deg, rel. 12.5; 44.43 deg, rel. 100.0; 52.45 deg, rel. 3.2; 54.45 deg, rel. 26.6; 57.58 deg, rel. 4.8; 60.82 deg, rel. 3.5; 64.44 deg, rel. 7.7; 67.49 deg, rel. 3.8

Crystal structure
```
LiCu2Se
1.0
3.371 0.000 0.000
0.000 3.371 0.000
0.000 0.000 5.121
Li Cu Se
1 2 1
direct
0.000 0.000 0.000 Li
0.500 0.500 0.247 Cu
0.500 0.500 0.753 Cu
0.000 0.000 0.500 Se
```

Starting from a structure optimized by DFT (GGA-PBE), the powder diffraction line list of LiTaCu2Se4 was calculated for Cu Kα.
No peak broadening, texture or thermal motion is included.

Principal peaks in the range 5 to 70 degrees two-theta, in order of rising 2θ:
17.23 deg, rel. 49.2; 27.04 deg, rel. 100.0; 28.72 deg, rel. 10.2; 35.46 deg, rel. 12.5; 42.57 deg, rel. 10.5; 44.03 deg, rel. 26.0; 45.31 deg, rel. 47.9; 52.44 deg, rel. 30.7; 54.54 deg, rel. 5.0; 54.68 deg, rel. 13.5; 57.76 deg, rel. 5.6; 64.03 deg, rel. 8.2

Crystal structure
```
LiTaCu2Se4
1.0
0.000 4.115 5.516
4.111 0.000 5.516
4.111 4.115 0.000
Li Ta Cu Se
1 1 2 4
direct
0.000 0.000 0.000 Li
0.501 0.501 0.499 Ta
0.250 0.250 0.250 Cu
0.750 0.750 0.750 Cu
0.131 0.610 0.390 Se
0.391 0.870 0.609 Se
0.610 0.131 0.869 Se
0.870 0.391 0.130 Se
```

Starting from a structure optimized by DFT (GGA-PBE), the powder diffraction line list of Li4U3CuSe8 was calculated for Cu Kα.
No peak broadening, texture or thermal motion is included.

Principal peaks in the range 5 to 70 degrees two-theta, in order of rising 2θ:
13.56 deg, rel. 68.9; 26.29 deg, rel. 45.1; 31.77 deg, rel. 100.0; 34.66 deg, rel. 9.2; 34.69 deg, rel. 16.8; 41.51 deg, rel. 8.8; 45.44 deg, rel. 37.0; 45.65 deg, rel. 36.6; 47.84 deg, rel. 17.6; 56.69 deg, rel. 19.3; 63.37 deg, rel. 9.8; 66.38 deg, rel. 12.0

Crystal structure
```
Li4U3CuSe8
1.0
6.888 -3.972 0.000
6.888 3.972 0.000
-4.590 0.000 6.533
Li U Cu Se
4 3 1 8
direct
0.000 0.000 0.000 Li
0.000 0.500 0.000 Li
0.500 0.000 0.000 Li
0.500 0.500 0.000 Li
0.000 0.000 0.500 U
0.000 0.500 0.500 U
0.500 0.000 0.500 U
0.500 0.500 0.500 Cu
0.253 0.253 0.250 Se
0.254 0.742 0.251 Se
0.255 0.255 0.764 Se
0.258 0.746 0.749 Se
0.742 0.254 0.251 Se
0.745 0.745 0.236 Se
0.746 0.258 0.749 Se
0.747 0.747 0.750 Se
```

Starting from a structure optimized by DFT (GGA-PBE), the powder diffraction line list of LiCu10Si2 was calculated for Cu Kα.
No peak broadening, texture or thermal motion is included.

Principal peaks in the range 5 to 70 degrees two-theta, in order of rising 2θ:
15.14 deg, rel. 75.8; 21.12 deg, rel. 40.3; 36.95 deg, rel. 41.1; 43.08 deg, rel. 73.4; 43.21 deg, rel. 36.0; 43.42 deg, rel. 74.9; 43.52 deg, rel. 42.1; 48.31 deg, rel. 39.4; 48.49 deg, rel. 100.0; 48.61 deg, rel. 57.5; 48.85 deg, rel. 75.8; 49.18 deg, rel. 49.9

Crystal structure
```
LiCu10Si2
1.0
4.865 0.000 0.000
2.390 5.850 0.000
2.415 -0.018 5.933
Li Cu Si
1 10 2
direct
0.000 0.000 0.000 Li
0.000 0.500 0.000 Cu
0.005 0.344 0.650 Cu
0.282 0.216 0.220 Cu
0.345 0.657 0.650 Cu
0.497 0.784 0.220 Cu
0.500 0.500 0.000 Cu
0.503 0.216 0.780 Cu
0.655 0.343 0.350 Cu
0.718 0.784 0.780 Cu
0.995 0.656 0.350 Cu
0.000 0.000 0.500 Si
0.500 0.000 0.500 Si
```

Starting from a structure optimized by DFT (GGA-PBE), the powder diffraction line list of Li3CuSi was calculated for Cu Kα.
No peak broadening, texture or thermal motion is included.

Principal peaks in the range 5 to 70 degrees two-theta, in order of rising 2θ:
16.73 deg, rel. 100.0; 19.61 deg, rel. 91.6; 27.28 deg, rel. 11.4; 32.67 deg, rel. 23.9; 37.10 deg, rel. 46.6; 39.82 deg, rel. 20.3; 42.68 deg, rel. 21.7; 43.22 deg, rel. 30.0; 47.02 deg, rel. 26.4; 47.88 deg, rel. 28.9; 51.74 deg, rel. 13.5; 60.21 deg, rel. 25.8

Crystal structure
```
Li3CuSi
1.0
-4.528 3.269 2.725
4.528 -3.269 2.725
4.528 3.269 -2.725
Li Cu Si
6 2 2
direct
0.249 0.022 0.270 Li
0.249 0.478 0.727 Li
0.676 0.498 0.678 Li
0.751 0.522 0.273 Li
0.751 0.978 0.730 Li
0.819 0.998 0.322 Li
0.247 0.747 0.000 Cu
0.747 0.247 0.000 Cu
0.213 0.998 0.715 Si
0.283 0.498 0.285 Si
```

Starting from a structure optimized by DFT (GGA-PBE), the powder diffraction line list of Li2Cu3Si was calculated for Cu Kα.
No peak broadening, texture or thermal motion is included.

Principal peaks in the range 5 to 70 degrees two-theta, in order of rising 2θ:
22.00 deg, rel. 100.0; 23.56 deg, rel. 97.0; 25.92 deg, rel. 12.5; 42.56 deg, rel. 71.3; 43.45 deg, rel. 42.2; 44.86 deg, rel. 97.0; 45.18 deg, rel. 18.7; 48.20 deg, rel. 25.9; 53.30 deg, rel. 51.5; 56.91 deg, rel. 13.3; 59.05 deg, rel. 21.2; 69.83 deg, rel. 9.8

Crystal structure
```
Li2Cu3Si
1.0
2.497 1.442 3.776
-2.497 1.442 3.776
0.000 -2.883 3.776
Li Cu Si
2 3 1
direct
0.125 0.125 0.125 Li
0.875 0.875 0.875 Li
0.000 0.500 0.500 Cu
0.500 0.000 0.500 Cu
0.500 0.500 0.000 Cu
0.500 0.500 0.500 Si
```

Starting from a structure optimized by DFT (GGA-PBE), the powder diffraction line list of Li2Cu2Si3 was calculated for Cu Kα.
No peak broadening, texture or thermal motion is included.

Principal peaks in the range 5 to 70 degrees two-theta, in order of rising 2θ:
11.01 deg, rel. 100.0; 23.26 deg, rel. 36.2; 25.85 deg, rel. 24.0; 28.13 deg, rel. 19.7; 35.60 deg, rel. 16.3; 36.09 deg, rel. 17.5; 39.08 deg, rel. 17.5; 46.10 deg, rel. 19.0; 46.47 deg, rel. 20.4; 47.07 deg, rel. 19.2; 49.88 deg, rel. 21.6; 53.67 deg, rel. 17.9

Crystal structure
```
Li2Cu2Si3
1.0
1.969 -8.034 0.000
1.969 8.034 0.000
0.000 0.000 6.710
Li Cu Si
4 4 6
direct
0.051 0.949 0.750 Li
0.154 0.846 0.250 Li
0.846 0.154 0.750 Li
0.949 0.051 0.250 Li
0.304 0.696 0.060 Cu
0.304 0.696 0.440 Cu
0.696 0.304 0.560 Cu
0.696 0.304 0.940 Cu
0.230 0.770 0.750 Si
0.437 0.563 0.579 Si
0.437 0.563 0.921 Si
0.563 0.437 0.079 Si
0.563 0.437 0.421 Si
0.770 0.230 0.250 Si
```